This entry pairs a crystal structure of Cu5PPt6 with its simulated powder X-ray diffraction pattern. Radiation: CuKα. Structure: a cell relaxed with PBE.
Peak positions follow from Bragg's law for the DFT cell and can differ from measured ones.

Main lines, in order of rising 2θ (2θ from 10° to 90°):
two_theta, I/Imax, h k l
26.39, 25, 2 0 1
31.16, 19, 0 2 0
31.34, 20, 4 0 -1
41.27, 100, 2 2 1
41.58, 32, 6 0 0
44.78, 54, 4 2 -1
52.59, 10, 2 2 -2
54.33, 12, 4 0 2
65.41, 10, 8 0 -2
73.19, 9, 8 2 1
79.93, 10, 2 4 -2
80.13, 17, 6 4 0

Cell and atoms:
a b c (Å): 13.221 5.741 4.438
angles (deg): 90.00 99.73 90.00
Space group C2/m (No. 12)
Inequivalent atoms, fractional coordinates:
Cu1 0.000 0.000 0.000 x2
Cu2 0.168 0.000 0.640 x4
Cu3 0.182 0.500 0.640 x4
P1 0.000 0.500 0.000 x2
Pt1 0.000 0.260 0.500 x4
Pt2 0.157 0.258 0.125 x8